NdYTm5: computed X-ray diffraction stick pattern (CuKα), based on a cell relaxed with GGA-PBE.

Main lines, most intense first (2θ = 10–90°):
2θ 32.30, d = 2.771 Å, I = 100
2θ 31.09, d = 2.877 Å, I = 53
2θ 34.70, d = 2.585 Å, I = 40
2θ 28.85, d = 3.095 Å, I = 38
2θ 32.78, d = 2.732 Å, I = 35
2θ 27.43, d = 3.251 Å, I = 24
2θ 30.70, d = 2.912 Å, I = 23
2θ 35.74, d = 2.512 Å, I = 17
2θ 33.97, d = 2.639 Å, I = 15
2θ 51.98, d = 1.759 Å, I = 14
2θ 56.62, d = 1.626 Å, I = 14
2θ 51.64, d = 1.770 Å, I = 14

Atomic structure:
```
NdYTm5
1.0
8.1323 -3.2514 0.0000
8.1323 3.2514 0.0000
-6.2738 0.0000 8.5237
Nd Y Tm
2 2 10
Cartesian
4.0662 1.6257 0.0000 Nd
0.9293 -1.6257 4.2619 Nd
6.5639 3.1761 2.1309 Y
3.4270 -3.1761 6.3928 Y
2.7863 1.6467 3.5187 Tm
0.9960 1.5723 7.7243 Tm
5.8579 1.5723 5.0613 Tm
10.3415 1.6467 0.7432 Tm
6.5639 0.0541 2.1309 Tm
3.4270 -0.0541 6.3928 Tm
-0.3506 -1.6467 7.7806 Tm
4.1329 -1.5723 3.4624 Tm
8.9948 -1.5723 0.7994 Tm
7.2046 -1.6467 5.0050 Tm
```